The following is a calculated PXRD pattern of CsHg7Pd5. It was derived from a structure optimized by DFT (GGA-PBE), using CuKα.
No peak broadening, texture or thermal motion is included.

Structural model:
abc: 7.532 7.532 7.532
angles: 134.43 97.70 99.56
Element x y z (fractional)
Cs  0.000  0.000  0.000
Hg  0.191  0.490  0.702
Hg  0.236  0.736  0.500
Hg  0.344  0.344  0.000
Hg  0.353  0.011  0.342
Hg  0.665  0.665  0.000
Hg  0.669  0.011  0.658
Hg  0.788  0.490  0.298
Pd  0.000  0.504  0.007
Pd  0.000  0.993  0.496
Pd  0.497  0.504  0.504
Pd  0.497  0.993  0.993
Pd  0.758  0.258  0.500

The 10 most intense peaks (10 to 90 degrees two-theta), most intense first:
2θ = 36.28°, intensity 1000
2θ = 40.39°, intensity 945
2θ = 31.10°, intensity 517
2θ = 36.52°, intensity 448
2θ = 30.65°, intensity 448
2θ = 36.96°, intensity 357
2θ = 35.90°, intensity 315
2θ = 41.23°, intensity 310
2θ = 66.17°, intensity 291
2θ = 31.57°, intensity 252